Entry 1:
Starting from a structure optimized by DFT (GGA-PBE), the X-ray powder pattern of Co2CuGe2 was computed for Cu Ka.
No peak broadening, texture or thermal motion is included.

Cell and atoms:
```
data_Co2CuGe2
_chemical_formula_sum 'Co4 Cu2 Ge4'
_symmetry_space_group_name_H-M 'P m m a'
_symmetry_Int_Tables_number 51
_symmetry_space_group_name_Hall '-P 2a 2a'
_cell_length_a 5.013
_cell_length_b 3.873
_cell_length_c 6.689
_cell_angle_alpha 90.00
_cell_angle_beta 90.00
_cell_angle_gamma 90.00
loop_
_atom_site_label
_atom_site_fract_x
_atom_site_fract_y
_atom_site_fract_z
_atom_site_occupancy
Co1 0.000 0.000 0.000 1
Co2 0.250 0.000 0.340 1
Cu1 0.000 0.500 0.500 1
Ge1 0.250 0.000 0.696 1
Ge2 0.250 0.500 0.122 1
```

Largest 8 diffraction maxima, in order of falling intensity, 10 to 90 degrees two-theta:
(hkl)	d [Å]	2theta	I (rel.)
2 1 1	2.007	45.18	100
0 1 3	1.932	47.02	51
0 2 0	1.936	46.92	32
1 1 1	2.785	32.14	23
2 2 2	1.393	67.18	18
2 2 4	1.130	86.08	13
1 1 2	2.260	39.90	13
0 1 2	2.531	35.46	11

=====

Entry 2:
Starting from a structure optimized by DFT (GGA-PBE), the X-ray powder pattern of Pa2CoCuGe was computed for Cu Ka.
No peak broadening, texture or thermal motion is included.

Cell and atoms:
```
data_Pa2CoCuGe
_chemical_formula_sum 'Pa4 Co2 Cu2 Ge2'
_symmetry_space_group_name_H-M 'P 1 21/m 1'
_symmetry_Int_Tables_number 11
_symmetry_space_group_name_Hall '-P 2yb'
_cell_length_a 6.829
_cell_length_b 3.899
_cell_length_c 7.153
_cell_angle_alpha 90.00
_cell_angle_beta 104.32
_cell_angle_gamma 90.00
loop_
_atom_site_label
_atom_site_fract_x
_atom_site_fract_y
_atom_site_fract_z
_atom_site_occupancy
Pa1 0.088 0.250 0.371 1
Pa2 0.309 0.250 0.970 1
Co1 0.086 0.750 0.100 1
Cu1 0.352 0.750 0.652 1
Ge1 0.422 0.750 0.318 1
```

Largest 8 diffraction maxima, in order of falling intensity, 10 to 90 degrees two-theta:
(hkl)	d [Å]	2theta	I (rel.)
1 1 -2	2.579	34.78	100
2 1 -1	2.528	35.51	96
0 1 2	2.590	34.63	72
1 1 1	2.884	31.01	59
2 0 1	2.734	32.75	52
0 2 0	1.949	46.59	48
2 1 1	2.239	40.29	45
0 0 3	2.310	38.99	43